[1]
The following is a calculated powder X-ray diffraction pattern of Zn4As3. It was derived from a GGA-PBE-relaxed structure, using copper Kα.
Lines closer than 0.1° are merged.

Largest 12 diffraction maxima, in order of falling intensity, 2θ = 10–90°:
45.83°, I = 100
34.77°, I = 96
31.25°, I = 88
44.14°, I = 64
31.79°, I = 58
44.52°, I = 35
44.28°, I = 35
31.10°, I = 31
29.86°, I = 31
26.28°, I = 29
32.08°, I = 25
55.41°, I = 24

Cell: 6.3362 6.3362 6.7827 Å, 121.84 121.84 37.79°
Positions (direct):
Zn: 0.0913 0.0913 0.2382
Zn: 0.3563 0.3563 0.2198
Zn: 0.6437 0.6437 0.7802
Zn: 0.9087 0.9087 0.7618
As: 0.0000 0.0000 0.5000
As: 0.3058 0.3058 0.8091
As: 0.6942 0.6942 0.1909

[2]
The following is a calculated powder X-ray diffraction pattern of Zn3As2. It was derived from a GGA-PBE-relaxed structure, using copper Kα.
Lines closer than 0.1° are merged.

Largest 12 diffraction maxima, in order of falling intensity, 2θ = 10–90°:
42.92°, I = 100
25.89°, I = 53
50.81°, I = 25
78.65°, I = 24
28.01°, I = 23
35.32°, I = 17
62.32°, I = 14
56.75°, I = 12
18.23°, I = 9
68.64°, I = 9
61.23°, I = 8
84.46°, I = 7

Cell: 10.3228 10.3228 10.3228 Å, 109.47 109.47 109.47°
Positions (direct):
Zn: 0.0086 0.4764 0.7471
Zn: 0.0236 0.0323 0.2707
Zn: 0.0323 0.2707 0.0236
Zn: 0.2293 0.2616 0.7529
Zn: 0.2384 0.4677 0.4914
Zn: 0.2471 0.7707 0.7384
Zn: 0.2529 0.9914 0.5236
Zn: 0.2616 0.7529 0.2293
Zn: 0.2707 0.0236 0.0323
Zn: 0.4677 0.4914 0.2384
Zn: 0.4764 0.7471 0.0086
Zn: 0.4914 0.2384 0.4677
Zn: 0.5086 0.7616 0.5323
Zn: 0.5236 0.2529 0.9914
Zn: 0.5323 0.5086 0.7616
Zn: 0.7293 0.9764 0.9677
Zn: 0.7384 0.2471 0.7707
Zn: 0.7471 0.0086 0.4764
Zn: 0.7529 0.2293 0.2616
Zn: 0.7616 0.5323 0.5086
Zn: 0.7707 0.7384 0.2471
Zn: 0.9677 0.7293 0.9764
Zn: 0.9764 0.9677 0.7293
Zn: 0.9914 0.5236 0.2529
As: 0.0000 0.0000 0.5000
As: 0.0000 0.5000 0.0000
As: 0.0085 0.7500 0.7585
As: 0.2415 0.9915 0.2500
As: 0.2500 0.2415 0.9915
As: 0.2500 0.7415 0.4915
As: 0.2585 0.5085 0.7500
As: 0.4915 0.2500 0.7415
As: 0.5000 0.0000 0.0000
As: 0.5000 0.5000 0.5000
As: 0.5085 0.7500 0.2585
As: 0.7415 0.4915 0.2500
As: 0.7500 0.2585 0.5085
As: 0.7500 0.7585 0.0085
As: 0.7585 0.0085 0.7500
As: 0.9915 0.2500 0.2415

[3]
The following is a calculated powder X-ray diffraction pattern of Zn3As. It was derived from a GGA-PBE-relaxed structure, using copper Kα.
Lines closer than 0.1° are merged.

Largest 12 diffraction maxima, in order of falling intensity, 2θ = 10–90°:
41.25°, I = 100
37.85°, I = 28
36.44°, I = 24
78.29°, I = 18
70.67°, I = 17
65.59°, I = 16
53.56°, I = 15
80.49°, I = 13
89.58°, I = 3
80.86°, I = 3
77.42°, I = 2
61.60°, I = 1

Cell: 2.8468 2.8468 9.5075 Å, 90.00 90.00 120.00°
Positions (direct):
Zn: 0.0000 0.0000 0.0000
Zn: 0.6667 0.3333 0.2384
Zn: 0.6667 0.3333 0.7616
As: 0.0000 0.0000 0.5000

[4]
The following is a calculated powder X-ray diffraction pattern of Zn3As2. It was derived from a GGA-PBE-relaxed structure, using copper Kα.
Lines closer than 0.1° are merged.

Largest 12 diffraction maxima, in order of falling intensity, 2θ = 10–90°:
43.00°, I = 100
25.89°, I = 80
42.76°, I = 53
78.48°, I = 26
50.67°, I = 26
31.00°, I = 17
62.08°, I = 15
51.09°, I = 12
28.00°, I = 12
78.98°, I = 11
68.76°, I = 9
35.26°, I = 8

Cell: 8.4579 8.4579 11.8368 Å, 90.00 90.00 90.00°
Positions (direct):
Zn: 0.0026 0.7500 0.1048
Zn: 0.0278 0.7500 0.6384
Zn: 0.0295 0.2500 0.6371
Zn: 0.2500 0.0295 0.1371
Zn: 0.2500 0.4705 0.1371
Zn: 0.2500 0.5026 0.3952
Zn: 0.2500 0.5278 0.8616
Zn: 0.2500 0.9722 0.8616
Zn: 0.2500 0.9974 0.3952
Zn: 0.4705 0.2500 0.6371
Zn: 0.4722 0.7500 0.6384
Zn: 0.4974 0.7500 0.1048
Zn: 0.5026 0.2500 0.8952
Zn: 0.5278 0.2500 0.3616
Zn: 0.5295 0.7500 0.3629
Zn: 0.7500 0.0026 0.6048
Zn: 0.7500 0.0278 0.1384
Zn: 0.7500 0.4722 0.1384
Zn: 0.7500 0.4974 0.6048
Zn: 0.7500 0.5295 0.8629
Zn: 0.7500 0.9705 0.8629
Zn: 0.9705 0.7500 0.3629
Zn: 0.9722 0.2500 0.3616
Zn: 0.9974 0.2500 0.8952
As: 0.0014 0.5014 0.2500
As: 0.0014 0.9986 0.2500
As: 0.2500 0.2500 0.4966
As: 0.2500 0.2500 0.9966
As: 0.2500 0.7500 0.5016
As: 0.2500 0.7500 0.9984
As: 0.4986 0.5014 0.2500
As: 0.4986 0.9986 0.2500
As: 0.5014 0.0014 0.7500
As: 0.5014 0.4986 0.7500
As: 0.7500 0.2500 0.0016
As: 0.7500 0.2500 0.4984
As: 0.7500 0.7500 0.0034
As: 0.7500 0.7500 0.5034
As: 0.9986 0.0014 0.7500
As: 0.9986 0.4986 0.7500

[5]
The following is a calculated powder X-ray diffraction pattern of Zn2As. It was derived from a GGA-PBE-relaxed structure, using copper Kα.
Lines closer than 0.1° are merged.

Largest 12 diffraction maxima, in order of falling intensity, 2θ = 10–90°:
42.75°, I = 100
34.82°, I = 49
26.94°, I = 44
44.31°, I = 25
67.91°, I = 24
44.57°, I = 22
57.55°, I = 22
27.85°, I = 16
51.82°, I = 15
80.47°, I = 15
23.40°, I = 14
70.50°, I = 12

Cell: 5.1525 5.6332 4.0889 Å, 90.00 90.00 90.00°
Positions (direct):
Zn: 0.0078 0.2193 0.0000
Zn: 0.4922 0.7193 0.5000
Zn: 0.5078 0.2807 0.5000
Zn: 0.9922 0.7807 0.0000
As: 0.0000 0.5000 0.5000
As: 0.5000 0.0000 0.0000

[6]
The following is a calculated powder X-ray diffraction pattern of ZrZn2As2. It was derived from a GGA-PBE-relaxed structure, using copper Kα.
Lines closer than 0.1° are merged.

Largest 12 diffraction maxima, in order of falling intensity, 2θ = 10–90°:
37.50°, I = 100
40.09°, I = 52
65.89°, I = 23
76.73°, I = 17
49.96°, I = 16
30.25°, I = 13
59.24°, I = 11
47.47°, I = 10
35.23°, I = 9
85.40°, I = 9
35.70°, I = 9
24.38°, I = 8

Cell: 7.1133 7.1133 3.6513 Å, 90.00 90.00 90.00°
Positions (direct):
Zr: 0.0000 0.0000 0.0000
Zr: 0.5000 0.5000 0.0000
Zn: 0.1527 0.3473 0.5000
Zn: 0.3473 0.8473 0.5000
Zn: 0.6527 0.1527 0.5000
Zn: 0.8473 0.6527 0.5000
As: 0.1520 0.6520 0.0000
As: 0.3480 0.1520 0.0000
As: 0.6520 0.8480 0.0000
As: 0.8480 0.3480 0.0000

[7]
The following is a calculated powder X-ray diffraction pattern of Zr5As. It was derived from a GGA-PBE-relaxed structure, using copper Kα.
Lines closer than 0.1° are merged.

Largest 12 diffraction maxima, in order of falling intensity, 2θ = 10–90°:
36.69°, I = 100
35.51°, I = 59
64.54°, I = 37
51.10°, I = 21
66.81°, I = 13
86.00°, I = 9
78.01°, I = 8
86.69°, I = 8
75.18°, I = 6
54.56°, I = 6
30.65°, I = 4
58.52°, I = 3

Cell: 3.5747 3.5747 10.0911 Å, 90.00 90.00 90.00°
Positions (direct):
Zr: 0.0000 0.0000 0.0000
Zr: 0.0000 0.0000 0.3558
Zr: 0.0000 0.0000 0.6442
Zr: 0.5000 0.5000 0.1773
Zr: 0.5000 0.5000 0.8227
As: 0.5000 0.5000 0.5000

[8]
The following is a calculated powder X-ray diffraction pattern of Zr3As4. It was derived from a GGA-PBE-relaxed structure, using copper Kα.
Lines closer than 0.1° are merged.

Largest 12 diffraction maxima, in order of falling intensity, 2θ = 10–90°:
34.57°, I = 100
38.46°, I = 94
64.54°, I = 40
49.70°, I = 35
49.05°, I = 17
83.28°, I = 15
25.11°, I = 13
33.70°, I = 13
43.21°, I = 12
72.92°, I = 11
71.28°, I = 10
85.60°, I = 9

Cell: 10.9504 10.9504 10.9504 Å, 160.71 160.71 27.41°
Positions (direct):
Zr: 0.0000 0.0000 0.0000
Zr: 0.3003 0.3003 0.0000
Zr: 0.6997 0.6997 0.0000
As: 0.1658 0.1658 0.0000
As: 0.4373 0.4373 0.0000
As: 0.5627 0.5627 0.0000
As: 0.8342 0.8342 0.0000

[9]
The following is a calculated powder X-ray diffraction pattern of BeBPIrAu. It was derived from a GGA-PBE-relaxed structure, using copper Kα.
Lines closer than 0.1° are merged.

Largest 12 diffraction maxima, in order of falling intensity, 2θ = 10–90°:
21.23°, I = 100
25.26°, I = 78
33.95°, I = 38
35.11°, I = 37
27.10°, I = 35
38.87°, I = 30
39.63°, I = 30
41.13°, I = 25
30.75°, I = 24
46.86°, I = 20
31.24°, I = 20
45.57°, I = 19

Cell: 4.0910 4.2203 4.8732 Å, 82.82 73.08 86.04°
Positions (direct):
Be: 0.0000 0.0000 0.0000
B: 0.1979 0.3653 0.0954
P: 0.4447 0.0030 0.2212
Ir: 0.7027 0.5127 0.0893
Au: 0.3000 0.6570 0.6588

[10]
The following is a calculated powder X-ray diffraction pattern of BeBPIrAu. It was derived from a GGA-PBE-relaxed structure, using copper Kα.
Lines closer than 0.1° are merged.

Largest 12 diffraction maxima, in order of falling intensity, 2θ = 10–90°:
33.28°, I = 100
33.82°, I = 69
10.85°, I = 64
32.97°, I = 54
45.48°, I = 44
21.81°, I = 43
34.22°, I = 37
41.67°, I = 34
49.55°, I = 27
69.87°, I = 27
43.57°, I = 24
59.58°, I = 23

Cell: 3.1077 3.1077 8.2556 Å, 97.90 97.90 60.36°
Positions (direct):
Be: 0.0000 0.0000 0.0000
B: 0.8269 0.8269 0.4722
P: 0.5098 0.5098 0.5395
Ir: 0.6174 0.6174 0.8271
Au: 0.7185 0.7185 0.1933